No. 1
KPr: theoretical powder X-ray diffraction pattern (Cu Kα (weighted mean of Kα1 and Kα2)), based on DFT lattice parameters and positions (PBE).
Kinematic intensities with the Lorentz-polarization factor, no thermal factor.

Top 10 peaks for 10° ≤ 2θ ≤ 90°, by angle:
- 12.2 deg, I = 48.7
- 24.5 deg, I = 34.7
- 27.5 deg, I = 36.5
- 30.2 deg, I = 100.0
- 37.1 deg, I = 36.7
- 46.8 deg, I = 29.1
- 48.6 deg, I = 15.6
- 55.2 deg, I = 21.1
- 58.3 deg, I = 14.9
- 62.7 deg, I = 12.2

Structure:
a b c (Å): 3.7459 3.7459 7.2724
angles (deg): 90.00 90.00 120.00
Space group P-6m2 (No. 187)
Inequivalent atoms, fractional coordinates:
K 0.0000 0.0000 0.0000 (multiplicity 1)
Pr 0.6667 0.3333 0.5000 (multiplicity 1)

---

No. 2
KRbPr2Sb2: theoretical powder X-ray diffraction pattern (Cu Kα (weighted mean of Kα1 and Kα2)), based on DFT lattice parameters and positions (PBE).
Kinematic intensities with the Lorentz-polarization factor, no thermal factor.

Top 10 peaks for 10° ≤ 2θ ≤ 90°, by angle:
- 10.2 deg, I = 100.0
- 19.3 deg, I = 26.5
- 25.4 deg, I = 62.9
- 26.4 deg, I = 46.5
- 31.2 deg, I = 99.2
- 33.1 deg, I = 75.7
- 39.1 deg, I = 32.8
- 42.8 deg, I = 24.5
- 47.4 deg, I = 27.0
- 57.9 deg, I = 36.2

Structure:
a b c (Å): 5.420 5.420 8.644
angles (deg): 90.00 90.00 90.00
Space group P4mm (No. 99)
Inequivalent atoms, fractional coordinates:
K 0.000 0.000 0.000 (multiplicity 1)
Rb 0.500 0.500 0.739 (multiplicity 1)
Pr 0.000 0.500 0.366 (multiplicity 2)
Sb 0.000 0.000 0.568 (multiplicity 1)
Sb 0.500 0.500 0.167 (multiplicity 1)

---

No. 3
KPrWSe4: theoretical powder X-ray diffraction pattern (Cu Kα (weighted mean of Kα1 and Kα2)), based on DFT lattice parameters and positions (PBE).
Kinematic intensities with the Lorentz-polarization factor, no thermal factor.

Top 10 peaks for 10° ≤ 2θ ≤ 90°, by angle:
- 10.3 deg, I = 100.0
- 16.3 deg, I = 59.3
- 24.3 deg, I = 24.2
- 25.4 deg, I = 17.1
- 30.8 deg, I = 71.1
- 37.1 deg, I = 38.6
- 39.6 deg, I = 20.3
- 40.0 deg, I = 17.0
- 41.2 deg, I = 21.6
- 55.4 deg, I = 19.5

Structure:
a b c (Å): 7.070 7.014 9.096
angles (deg): 90.00 108.70 90.00
Space group P2_1 (No. 4)
Inequivalent atoms, fractional coordinates:
K 0.241 0.000 0.055 (multiplicity 2)
Pr 0.212 0.999 0.546 (multiplicity 2)
W 0.269 0.494 0.340 (multiplicity 2)
Se 0.001 0.753 0.719 (multiplicity 2)
Se 0.003 0.743 0.279 (multiplicity 2)
Se 0.430 0.548 0.149 (multiplicity 2)
Se 0.474 0.639 0.591 (multiplicity 2)

---

No. 4
KPr3Te8: theoretical powder X-ray diffraction pattern (Cu Kα (weighted mean of Kα1 and Kα2)), based on DFT lattice parameters and positions (PBE).
Kinematic intensities with the Lorentz-polarization factor, no thermal factor.

Top 10 peaks for 10° ≤ 2θ ≤ 90°, by angle:
- 25.0 deg, I = 27.4
- 28.7 deg, I = 23.0
- 30.1 deg, I = 100.0
- 32.6 deg, I = 24.8
- 32.6 deg, I = 23.0
- 34.6 deg, I = 14.8
- 36.2 deg, I = 49.0
- 39.8 deg, I = 27.3
- 41.7 deg, I = 22.5
- 59.0 deg, I = 15.7

Structure:
a b c (Å): 14.404 13.003 9.053
angles (deg): 90.00 98.98 90.00
Space group P2_1/c (No. 14)
Inequivalent atoms, fractional coordinates:
K 0.036 0.092 0.259 (multiplicity 4)
Pr 0.347 0.749 0.087 (multiplicity 4)
Pr 0.350 0.085 0.081 (multiplicity 4)
Pr 0.352 0.084 0.596 (multiplicity 4)
Te 0.165 0.728 0.792 (multiplicity 4)
Te 0.170 0.581 0.552 (multiplicity 4)
Te 0.171 0.580 0.033 (multiplicity 4)
Te 0.173 0.096 0.793 (multiplicity 4)
Te 0.176 0.249 0.544 (multiplicity 4)
Te 0.414 0.580 0.851 (multiplicity 4)
Te 0.416 0.585 0.356 (multiplicity 4)
Te 0.419 0.246 0.355 (multiplicity 4)

---

No. 5
KPrZnTe3: theoretical powder X-ray diffraction pattern (Cu Kα (weighted mean of Kα1 and Kα2)), based on DFT lattice parameters and positions (PBE).
Kinematic intensities with the Lorentz-polarization factor, no thermal factor.

Top 10 peaks for 10° ≤ 2θ ≤ 90°, by angle:
- 10.9 deg, I = 93.8
- 22.1 deg, I = 22.8
- 25.8 deg, I = 37.3
- 27.4 deg, I = 100.0
- 27.9 deg, I = 27.8
- 31.9 deg, I = 26.6
- 35.9 deg, I = 16.2
- 40.1 deg, I = 71.9
- 43.7 deg, I = 17.2
- 48.3 deg, I = 20.1

Structure:
a b c (Å): 9.512 4.498 10.820
angles (deg): 90.00 106.97 90.00
Space group P2_1/m (No. 11)
Inequivalent atoms, fractional coordinates:
K 0.233 0.250 0.269 (multiplicity 2)
Pr 0.314 0.750 0.864 (multiplicity 2)
Zn 0.080 0.250 0.611 (multiplicity 2)
Te 0.072 0.250 0.853 (multiplicity 2)
Te 0.209 0.750 0.542 (multiplicity 2)
Te 0.461 0.750 0.165 (multiplicity 2)

---

No. 6
K23Pt6: theoretical powder X-ray diffraction pattern (Cu Kα (weighted mean of Kα1 and Kα2)), based on DFT lattice parameters and positions (PBE).
Kinematic intensities with the Lorentz-polarization factor, no thermal factor.

Top 10 peaks for 10° ≤ 2θ ≤ 90°, by angle:
- 10.2 deg, I = 41.6
- 14.5 deg, I = 27.7
- 17.7 deg, I = 100.0
- 20.5 deg, I = 44.5
- 26.7 deg, I = 32.7
- 29.2 deg, I = 79.9
- 31.0 deg, I = 25.1
- 34.3 deg, I = 85.2
- 45.7 deg, I = 26.1
- 51.7 deg, I = 32.1

Structure:
a b c (Å): 17.322 17.322 17.322
angles (deg): 90.00 90.00 90.00
Space group Fm-3m (No. 225)
Inequivalent atoms, fractional coordinates:
K 0.000 0.000 0.000 (multiplicity 4)
K 0.000 0.168 0.168 (multiplicity 48)
K 0.108 0.108 0.392 (multiplicity 32)
K 0.250 0.250 0.250 (multiplicity 8)
Pt 0.000 0.000 0.267 (multiplicity 24)

---

No. 7
K2Pt: theoretical powder X-ray diffraction pattern (Cu Kα (weighted mean of Kα1 and Kα2)), based on DFT lattice parameters and positions (PBE).
Kinematic intensities with the Lorentz-polarization factor, no thermal factor.

Top 10 peaks for 10° ≤ 2θ ≤ 90°, by angle:
- 20.1 deg, I = 100.0
- 23.2 deg, I = 16.2
- 33.1 deg, I = 89.2
- 39.0 deg, I = 56.2
- 47.5 deg, I = 15.8
- 52.1 deg, I = 24.8
- 59.1 deg, I = 32.4
- 63.1 deg, I = 18.7
- 73.2 deg, I = 18.3
- 79.1 deg, I = 13.7

Structure:
a b c (Å): 7.654 7.654 7.654
angles (deg): 90.00 90.00 90.00
Space group Fm-3m (No. 225)
Inequivalent atoms, fractional coordinates:
K 0.250 0.250 0.250 (multiplicity 8)
Pt 0.000 0.000 0.000 (multiplicity 4)

---

No. 8
KRbPtSe2S: theoretical powder X-ray diffraction pattern (Cu Kα (weighted mean of Kα1 and Kα2)), based on DFT lattice parameters and positions (PBE).
Kinematic intensities with the Lorentz-polarization factor, no thermal factor.

Top 10 peaks for 10° ≤ 2θ ≤ 90°, by angle:
- 10.2 deg, I = 38.4
- 14.0 deg, I = 43.8
- 14.9 deg, I = 62.8
- 15.3 deg, I = 63.9
- 16.0 deg, I = 61.8
- 16.4 deg, I = 44.5
- 26.3 deg, I = 100.0
- 27.6 deg, I = 81.9
- 40.9 deg, I = 34.6
- 46.5 deg, I = 27.6

Structure:
a b c (Å): 6.788 7.252 9.488
angles (deg): 69.64 69.74 64.03
Space group P-1 (No. 2)
Inequivalent atoms, fractional coordinates:
K 0.104 0.185 0.125 (multiplicity 2)
Rb 0.327 0.551 0.329 (multiplicity 2)
Pt 0.400 0.040 0.648 (multiplicity 2)
Se 0.179 0.356 0.747 (multiplicity 2)
Se 0.371 0.824 0.909 (multiplicity 2)
S 0.247 0.969 0.500 (multiplicity 2)

---

> Which formula does entry 7 have?

K2Pt